Starting from a crystal structure in Alexandria, relaxed with GGA+U, the XRD peak list of Rb2MnH2F6 was computed for a wavelength of 1.5418 Å.
Neutral-atom scattering factors, no anomalous dispersion.

Top 10 peaks for 5 to 70 degrees two-theta, low angle first:
d (Å)  2θ (°)  Rel. int.
4.749  18.68  38.8
3.357  26.56  42.6
3.131  28.51  73.0
2.984  29.95  37.7
2.883  31.02  39.6
2.801  31.95  100.0
2.599  34.51  31.9
2.379  37.82  52.5
2.230  40.45  89.6
1.971  46.06  25.8

Crystal structure
a b c (Å): 5.650 5.650 6.809
angles (deg): 118.97 118.97 63.75
Positions (direct):
Rb (0.234, 0.234, 0.197)
Rb (0.766, 0.766, 0.803)
Mn (0.000, 0.000, 0.500)
H (0.388, 0.388, 0.752)
H (0.612, 0.612, 0.248)
F (0.230, 0.738, 0.702)
F (0.262, 0.770, 0.298)
F (0.300, 0.300, 0.783)
F (0.700, 0.700, 0.217)
F (0.738, 0.230, 0.702)
F (0.770, 0.262, 0.298)